Record 1
Calculated X-ray diffraction stick pattern
Compound: CrBiO5
Radiation: Cu Kα, 1.54184 Å
Structure: DFT lattice parameters and positions (PBE+U)
Kinematic intensities with the Lorentz-polarization factor, no thermal factor.

The 10 most intense peaks (2θ = 10–80°), by intensity:
d [Å]  Position (°2θ)  Rel. int.  hkl
5.598  15.8  100  1 0 0
4.644  19.1  39  0 2 1
3.302  27.0  38  1 2 1
3.822  23.3  28  1 1 -2
3.972  22.4  25  0 1 2
3.932  22.6  21  1 2 -1
2.482  36.2  19  1 4 0
4.981  17.8  19  1 1 -1
2.787  32.1  19  0 3 2
2.231  40.4  16  2 2 1

Atomic structure:
Lattice parameters (Å, degrees): 5.9081 11.0840 8.9805 90.00 108.66 90.00
Space group P2_1/c (No. 14)
Unique sites:
1 Cr 0.1610 0.1501 0.4453 x4
2 Bi 0.0005 0.0893 0.8270 x4
3 O 0.1116 0.7015 0.1528 x4
4 O 0.1684 0.5512 0.4922 x4
5 O 0.1719 0.0966 0.6218 x4
6 O 0.2486 0.0432 0.3400 x4
7 O 0.3275 0.2268 0.9624 x4

Record 2
Calculated X-ray diffraction stick pattern
Compound: Cr2Bi6O15
Radiation: Cu Kα, 1.54184 Å
Structure: DFT lattice parameters and positions (PBE+U)
Kinematic intensities with the Lorentz-polarization factor, no thermal factor.

The 10 most intense peaks (2θ = 10–80°), by intensity:
d [Å]  Position (°2θ)  Rel. int.  hkl
3.304  27.0  100  2 4 1
3.084  29.0  34  3 3 1
2.996  29.8  17  0 0 2
1.932  47.0  17  0 8 2
5.238  16.9  13  1 1 1
2.526  35.5  13  0 8 0
2.533  35.4  12  5 1 0
1.689  54.3  12  7 3 1
1.912  47.5  12  5 7 0
3.191  28.0  11  4 0 0

Atomic structure:
Lattice parameters (Å, degrees): 12.7654 20.2042 5.9916 90.00 90.00 90.00
Space group Ccc2 (No. 37)
Unique sites:
1 Cr 0.1282 0.1627 0.0000 x8
2 Bi 0.0961 0.2982 0.5238 x8
3 Bi 0.1086 0.4374 0.1300 x8
4 Bi 0.1834 0.0686 0.5294 x8
5 O 0.0000 0.5000 0.3137 x4
6 O 0.0128 0.3441 0.2438 x8
7 O 0.0510 0.2271 0.9313 x8
8 O 0.0618 0.0932 0.9940 x8
9 O 0.1560 0.4018 0.4739 x8
10 O 0.1803 0.1730 0.2531 x8
11 O 0.2233 0.1568 0.8032 x8
12 O 0.2480 0.0022 0.2640 x8

Record 3
Calculated X-ray diffraction stick pattern
Compound: CrBiO3
Radiation: Cu Kα, 1.54184 Å
Structure: DFT lattice parameters and positions (PBE+U)
Kinematic intensities with the Lorentz-polarization factor, no thermal factor.

The 10 most intense peaks (2θ = 10–80°), by intensity:
d [Å]  Position (°2θ)  Rel. int.  hkl
2.814  31.8  100  1 1 -3
2.786  32.1  93  3 1 -1
3.968  22.4  46  1 1 1
1.984  45.7  31  2 2 2
2.279  39.5  29  4 0 0
3.945  22.5  26  2 0 -2
1.616  57.0  22  5 1 1
1.611  57.2  21  4 2 -4
1.973  46.0  17  4 0 -4
1.632  56.4  15  1 1 5

Atomic structure:
Lattice parameters (Å, degrees): 9.6343 5.5832 9.7636 90.00 108.89 90.00
Space group C2/c (No. 15)
Unique sites:
1 Cr 0.0000 0.2382 0.2500 x4
2 Cr 0.2500 0.2500 0.0000 x4
3 Bi 0.1342 0.2106 0.6308 x8
4 O 0.0840 0.1985 0.0840 x8
5 O 0.1477 0.0218 0.8413 x8
6 O 0.1543 0.4733 0.3651 x8

Record 4
Calculated X-ray diffraction stick pattern
Compound: CrBi14O24
Radiation: Cu Kα, 1.54184 Å
Structure: DFT lattice parameters and positions (PBE+U)
Kinematic intensities with the Lorentz-polarization factor, no thermal factor.

The 10 most intense peaks (2θ = 10–80°), by intensity:
d [Å]  Position (°2θ)  Rel. int.  hkl
2.826  31.7  100  0 0 3
3.265  27.3  89  2 1 0
3.278  27.2  88  -1 2 1
3.251  27.4  88  1 -2 2
3.225  27.7  86  2 1 -3
1.996  45.4  49  -3 1 4
2.804  31.9  45  1 3 -2
1.712  53.5  28  2 1 3
1.700  53.9  26  1 -2 5
2.001  45.3  26  3 -1 2

Atomic structure:
Lattice parameters (Å, degrees): 8.8942 8.8974 10.4686 114.15 114.45 90.63
Space group P1 (No. 1)
Unique sites:
1 Cr 0.0000 0.0000 0.0000 x1
2 Bi 0.0479 0.8298 0.2904 x1
3 Bi 0.1224 0.6859 0.6264 x1
4 Bi 0.2100 0.5180 0.9567 x1
5 Bi 0.2701 0.4334 0.2967 x1
6 Bi 0.3314 0.3011 0.6304 x1
7 Bi 0.4289 0.1734 0.9535 x1
8 Bi 0.4639 0.0194 0.2938 x1
9 Bi 0.5238 0.9042 0.6215 x1
10 Bi 0.5558 0.7436 0.9555 x1
11 Bi 0.6545 0.6199 0.2785 x1
12 Bi 0.7150 0.4934 0.6222 x1
13 Bi 0.7758 0.3976 0.9549 x1
14 Bi 0.8622 0.2426 0.2910 x1
15 Bi 0.9356 0.0920 0.6227 x1
16 O 0.1074 0.5780 0.1866 x1
17 O 0.1162 0.9874 0.9069 x1
18 O 0.1250 0.0769 0.1947 x1
19 O 0.1632 0.4678 0.4645 x1
20 O 0.2272 0.2605 0.7940 x1
21 O 0.2966 0.5609 0.7960 x1
22 O 0.3249 0.9558 0.4540 x1
23 O 0.3710 0.8486 0.7267 x1
24 O 0.3878 0.4210 0.1146 x1
25 O 0.4507 0.7247 0.1154 x1
26 O 0.4930 0.6311 0.4593 x1
27 O 0.4957 0.2929 0.4586 x1
28 O 0.5281 0.1965 0.7912 x1
29 O 0.5885 0.4964 0.7910 x1
30 O 0.6132 0.0735 0.1835 x1
31 O 0.6614 0.9605 0.4602 x1
32 O 0.6852 0.3626 0.1160 x1
33 O 0.7541 0.6625 0.1193 x1
34 O 0.8192 0.4620 0.4513 x1
35 O 0.8702 0.1326 0.9737 x1
36 O 0.8747 0.3418 0.7235 x1
37 O 0.8867 0.8122 0.9385 x1
38 O 0.9889 0.1256 0.4541 x1
39 O 0.9894 0.7913 0.4576 x1

> What is the formula in the second record?

Cr2Bi6O15